For Ho12ErTm6, DFT lattice parameters and positions (PBE) gives the simulated X-ray powder pattern in this record (Cu Kα (weighted mean of Kα1 and Kα2)).

Principal peaks in the range 5 to 70 degrees two-theta, most intense first:
| Position (°2θ) | Rel. int. |
| --- | --- |
| 32.37 | 100 |
| 33.37 | 69 |
| 31.00 | 43 |
| 34.02 | 28 |
| 31.92 | 24 |
| 35.50 | 18 |
| 56.66 | 17 |
| 59.29 | 14 |
| 45.85 | 14 |
| 54.30 | 13 |

Lattice parameters (Å, degrees): 8.420 8.420 8.420 88.16 88.16 88.16
Atoms (fractional coordinates):
1 Ho 0.010 0.205 0.358
2 Ho 0.205 0.358 0.010
3 Ho 0.225 0.457 0.565
4 Ho 0.358 0.010 0.205
5 Ho 0.435 0.775 0.543
6 Ho 0.457 0.565 0.225
7 Ho 0.543 0.435 0.775
8 Ho 0.565 0.225 0.457
9 Ho 0.642 0.990 0.795
10 Ho 0.775 0.543 0.435
11 Ho 0.795 0.642 0.990
12 Ho 0.990 0.795 0.642
13 Er 0.000 0.000 0.000
14 Tm 0.093 0.692 0.256
15 Tm 0.256 0.093 0.692
16 Tm 0.308 0.744 0.907
17 Tm 0.692 0.256 0.093
18 Tm 0.744 0.907 0.308
19 Tm 0.907 0.308 0.744

=====

For Ho7Er2Tm2, DFT lattice parameters and positions (PBE) gives the simulated X-ray powder pattern in this record (Cu Kα (weighted mean of Kα1 and Kα2)).

Principal peaks in the range 5 to 70 degrees two-theta, most intense first:
| Position (°2θ) | Rel. int. |
| --- | --- |
| 32.49 | 100 |
| 31.63 | 38 |
| 34.31 | 30 |
| 34.54 | 24 |
| 31.27 | 23 |
| 26.10 | 19 |
| 45.98 | 13 |
| 56.89 | 11 |
| 50.82 | 11 |
| 68.05 | 10 |

Lattice parameters (Å, degrees): 7.909 7.909 5.967 106.03 106.03 91.33
Atoms (fractional coordinates):
1 Ho 0.000 0.000 0.000
2 Ho 0.061 0.589 0.823
3 Ho 0.230 0.230 0.586
4 Ho 0.411 0.939 0.177
5 Ho 0.589 0.061 0.823
6 Ho 0.770 0.770 0.414
7 Ho 0.939 0.411 0.177
8 Er 0.413 0.413 0.198
9 Er 0.587 0.587 0.802
10 Tm 0.217 0.783 0.500
11 Tm 0.783 0.217 0.500

=====

For Ho5Er5Tm, DFT lattice parameters and positions (PBE) gives the simulated X-ray powder pattern in this record (Cu Kα (weighted mean of Kα1 and Kα2)).

Principal peaks in the range 5 to 70 degrees two-theta, most intense first:
| Position (°2θ) | Rel. int. |
| --- | --- |
| 32.33 | 100 |
| 32.93 | 65 |
| 33.96 | 27 |
| 57.32 | 17 |
| 45.99 | 11 |
| 32.04 | 10 |
| 35.15 | 10 |
| 25.21 | 10 |
| 30.65 | 10 |
| 58.43 | 9 |

Lattice parameters (Å, degrees): 6.797 6.802 8.300 75.85 75.95 70.97
Atoms (fractional coordinates):
1 Ho 0.000 0.000 0.000
2 Ho 0.147 0.145 0.360
3 Ho 0.305 0.300 0.647
4 Ho 0.695 0.700 0.353
5 Ho 0.853 0.855 0.640
6 Er 0.229 0.648 0.286
7 Er 0.351 0.767 0.716
8 Er 0.500 0.000 0.000
9 Er 0.649 0.233 0.284
10 Er 0.771 0.352 0.714
11 Tm 0.000 0.500 0.000

=====

For HoEr5Tm8, DFT lattice parameters and positions (PBE) gives the simulated X-ray powder pattern in this record (Cu Kα (weighted mean of Kα1 and Kα2)).

Principal peaks in the range 5 to 70 degrees two-theta, most intense first:
| Position (°2θ) | Rel. int. |
| --- | --- |
| 34.52 | 100 |
| 30.03 | 77 |
| 29.88 | 69 |
| 28.64 | 60 |
| 35.57 | 56 |
| 35.18 | 49 |
| 32.41 | 22 |
| 64.54 | 21 |
| 60.57 | 17 |
| 56.26 | 17 |

Lattice parameters (Å, degrees): 8.296 8.296 8.296 110.89 110.89 106.67
Atoms (fractional coordinates):
1 Ho 0.000 0.000 0.000
2 Er 0.038 0.214 0.599
3 Er 0.250 0.750 0.500
4 Er 0.561 0.962 0.176
5 Er 0.615 0.439 0.401
6 Er 0.786 0.385 0.824
7 Tm 0.092 0.673 0.762
8 Tm 0.274 0.520 0.105
9 Tm 0.327 0.089 0.419
10 Tm 0.415 0.168 0.895
11 Tm 0.480 0.585 0.754
12 Tm 0.670 0.908 0.581
13 Tm 0.832 0.726 0.246
14 Tm 0.911 0.330 0.238

=====

For Ho5Er2Tm12, DFT lattice parameters and positions (PBE) gives the simulated X-ray powder pattern in this record (Cu Kα (weighted mean of Kα1 and Kα2)).

Principal peaks in the range 5 to 70 degrees two-theta, most intense first:
| Position (°2θ) | Rel. int. |
| --- | --- |
| 32.11 | 100 |
| 32.01 | 75 |
| 31.13 | 69 |
| 34.01 | 64 |
| 31.75 | 53 |
| 36.14 | 46 |
| 59.95 | 43 |
| 32.34 | 42 |
| 37.06 | 38 |
| 61.15 | 37 |

Lattice parameters (Å, degrees): 8.991 8.991 8.369 90.94 90.94 60.59
Atoms (fractional coordinates):
1 Ho 0.000 0.000 0.000
2 Ho 0.233 0.233 0.075
3 Ho 0.301 0.301 0.491
4 Ho 0.699 0.699 0.509
5 Ho 0.767 0.767 0.925
6 Er 0.321 0.679 0.500
7 Er 0.679 0.321 0.500
8 Tm 0.027 0.663 0.256
9 Tm 0.091 0.091 0.385
10 Tm 0.180 0.566 0.839
11 Tm 0.337 0.973 0.744
12 Tm 0.434 0.820 0.161
13 Tm 0.443 0.443 0.167
14 Tm 0.557 0.557 0.833
15 Tm 0.566 0.180 0.839
16 Tm 0.663 0.027 0.256
17 Tm 0.820 0.434 0.161
18 Tm 0.909 0.909 0.615
19 Tm 0.973 0.337 0.744

=====

For Ho3Er8Tm2, DFT lattice parameters and positions (PBE) gives the simulated X-ray powder pattern in this record (Cu Kα (weighted mean of Kα1 and Kα2)).

Principal peaks in the range 5 to 70 degrees two-theta, most intense first:
| Position (°2θ) | Rel. int. |
| --- | --- |
| 33.98 | 100 |
| 32.36 | 40 |
| 31.43 | 31 |
| 30.09 | 30 |
| 58.77 | 24 |
| 36.08 | 21 |
| 25.30 | 20 |
| 49.24 | 18 |
| 41.52 | 11 |
| 59.42 | 11 |

Lattice parameters (Å, degrees): 7.525 5.532 10.643 90.00 110.65 90.00
Atoms (fractional coordinates):
1 Ho 0.000 0.000 0.000
2 Ho 0.284 0.500 0.000
3 Ho 0.716 0.500 0.000
4 Er 0.133 0.500 0.267
5 Er 0.179 0.000 0.782
6 Er 0.332 0.500 0.664
7 Er 0.397 0.000 0.218
8 Er 0.603 0.000 0.782
9 Er 0.668 0.500 0.336
10 Er 0.821 0.000 0.218
11 Er 0.867 0.500 0.733
12 Tm 0.241 0.000 0.483
13 Tm 0.759 0.000 0.517

=====

For Ho8ErTm3, DFT lattice parameters and positions (PBE) gives the simulated X-ray powder pattern in this record (Cu Kα (weighted mean of Kα1 and Kα2)).

Principal peaks in the range 5 to 70 degrees two-theta, most intense first:
| Position (°2θ) | Rel. int. |
| --- | --- |
| 31.19 | 100 |
| 31.35 | 99 |
| 36.22 | 67 |
| 36.37 | 33 |
| 62.09 | 28 |
| 62.18 | 28 |
| 52.15 | 24 |
| 52.28 | 24 |
| 61.90 | 14 |
| 62.42 | 14 |

Lattice parameters (Å, degrees): 6.060 7.015 9.286 78.77 77.00 73.25
Atoms (fractional coordinates):
1 Ho 0.000 0.166 0.333
2 Ho 0.000 0.333 0.667
3 Ho 0.000 0.667 0.333
4 Ho 0.000 0.834 0.667
5 Ho 0.499 0.667 0.833
6 Ho 0.500 0.167 0.833
7 Ho 0.500 0.833 0.167
8 Ho 0.501 0.333 0.167
9 Er 0.000 0.500 0.000
10 Tm 0.000 0.000 0.000
11 Tm 0.500 0.000 0.500
12 Tm 0.500 0.500 0.500

=====

For HoErTm5, DFT lattice parameters and positions (PBE) gives the simulated X-ray powder pattern in this record (Cu Kα (weighted mean of Kα1 and Kα2)).

Principal peaks in the range 5 to 70 degrees two-theta, most intense first:
| Position (°2θ) | Rel. int. |
| --- | --- |
| 31.75 | 100 |
| 31.23 | 97 |
| 31.64 | 83 |
| 30.98 | 72 |
| 34.05 | 41 |
| 36.13 | 38 |
| 57.84 | 34 |
| 26.88 | 33 |
| 33.27 | 24 |
| 31.50 | 22 |

Lattice parameters (Å, degrees): 6.630 6.630 12.007 107.33 107.33 60.16
Atoms (fractional coordinates):
1 Ho 0.028 0.972 0.750
2 Ho 0.972 0.028 0.250
3 Er 0.000 0.500 0.000
4 Er 0.500 0.000 0.500
5 Tm 0.140 0.420 0.753
6 Tm 0.192 0.651 0.499
7 Tm 0.349 0.808 0.001
8 Tm 0.416 0.584 0.250
9 Tm 0.420 0.140 0.253
10 Tm 0.580 0.860 0.747
11 Tm 0.584 0.416 0.750
12 Tm 0.651 0.192 0.999
13 Tm 0.808 0.349 0.501
14 Tm 0.860 0.580 0.247